Entry 1:
Diffraction record for NbZn2Ni8. The PXRD pattern is simulated, not measured: it uses DFT lattice parameters and positions (PBE) and Cu Kα.
Lines closer than 0.1° are merged.

Largest 10 diffraction maxima, by angle, 2θ = 5–70°:
2θ (°), Rel. int., hkl
24.15, 12, 2 0 0
29.51, 8, 0 2 1
33.63, 10, 2 0 1
38.48, 7, 2 2 1
43.87, 100, 0 4 1
44.70, 84, 3 1 1
46.29, 43, 3 3 0
47.13, 41, 0 0 2
60.54, 14, 3 5 0
68.20, 28, 3 3 2

Crystal structure
```
data_NbZn2Ni8
_cell_length_a 7.3709
_cell_length_b 9.7706
_cell_length_c 3.8570
_cell_angle_alpha 90.00
_cell_angle_beta 90.00
_cell_angle_gamma 90.00
_symmetry_space_group_name_H-M 'C m m m'
_symmetry_Int_Tables_number 65
_symmetry_space_group_name_Hall '-C 2 2'
loop_
_atom_site_label
_atom_site_type_symbol
_atom_site_fract_x
_atom_site_fract_y
_atom_site_fract_z
Nb1 Nb 0.0000 0.0000 0.0000
Zn1 Zn 0.0000 0.3764 0.5000
Ni1 Ni 0.0000 0.2485 0.0000
Ni2 Ni 0.1651 0.5000 0.0000
Ni3 Ni 0.1709 0.1341 0.5000
```

***

Entry 2:
Diffraction record for Nb3Zn2Ni4. The PXRD pattern is simulated, not measured: it uses DFT lattice parameters and positions (PBE) and Cu Kα.
Lines closer than 0.1° are merged.

Largest 10 diffraction maxima, by angle, 2θ = 5–70°:
2θ (°), Rel. int., hkl
24.04, 3, 1 3 0
24.17, 2, 2 0 0
34.08, 1, 0 0 2
37.08, 1, 1 5 0
42.17, 100, 0 6 0
42.45, 49, 3 3 0
55.31, 1, 0 6 2
55.52, 1, 3 3 2
61.22, 15, 2 6 2
61.48, 8, 4 0 2

Crystal structure
```
data_Nb3Zn2Ni4
_cell_length_a 7.3632
_cell_length_b 12.8495
_cell_length_c 5.2614
_cell_angle_alpha 90.00
_cell_angle_beta 90.00
_cell_angle_gamma 90.00
_symmetry_space_group_name_H-M 'C c c m'
_symmetry_Int_Tables_number 66
_symmetry_space_group_name_Hall '-C 2 2c'
loop_
_atom_site_label
_atom_site_type_symbol
_atom_site_fract_x
_atom_site_fract_y
_atom_site_fract_z
Nb1 Nb 0.0000 0.0000 0.2500
Nb2 Nb 0.0000 0.3438 0.2500
Zn1 Zn 0.1619 0.1684 0.0000
Ni1 Ni 0.1656 0.1678 0.5000
Ni2 Ni 0.1713 0.4988 0.0000
```

***

Entry 3:
Diffraction record for NpNb5. The PXRD pattern is simulated, not measured: it uses DFT lattice parameters and positions (PBE) and Cu Kα.
Lines closer than 0.1° are merged.

Largest 10 diffraction maxima, by angle, 2θ = 5–70°:
2θ (°), Rel. int., hkl
12.70, 12, 0 2 0
19.36, 11, 1 1 0
37.03, 27, 2 0 0
38.24, 100, 1 3 1
38.74, 24, 0 6 0
54.67, 17, 2 6 0
55.70, 8, 0 0 2
67.54, 18, 3 3 1
68.79, 9, 2 0 2
69.80, 16, 1 9 1

Crystal structure
```
data_NpNb5
_cell_length_a 4.8554
_cell_length_b 13.9446
_cell_length_c 3.3004
_cell_angle_alpha 90.00
_cell_angle_beta 90.00
_cell_angle_gamma 90.00
_symmetry_space_group_name_H-M 'C m m m'
_symmetry_Int_Tables_number 65
_symmetry_space_group_name_Hall '-C 2 2'
loop_
_atom_site_label
_atom_site_type_symbol
_atom_site_fract_x
_atom_site_fract_y
_atom_site_fract_z
Np1 Np 0.0000 0.0000 0.0000
Nb1 Nb 0.0000 0.1626 0.5000
Nb2 Nb 0.0000 0.3287 0.0000
Nb3 Nb 0.0000 0.5000 0.5000
```